For TaNi, the PBE geometry in OQMD gives the theoretical X-ray powder pattern in this record (Cu Kα (weighted mean of Kα1 and Kα2)).
Lines closer than 0.1° are merged.

Most intense lines, 2θ = 15–90°, sorted by position:
two_theta  I_rel
22.0  20
36.2  72
39.5  50
42.8  100
43.6  25
44.6  14
44.9  8
65.2  13
67.4  24
69.7  24
73.4  13
76.9  19

Crystal structure
a = 4.9594 Å, b = 4.9594 Å, c = 16.1399 Å
α = 90.00°, β = 90.00°, γ = 120.00°
Positions (direct):
Ta: 0.0000 0.0000 0.0910
Ta: 0.0000 0.0000 0.4090
Ta: 0.0000 0.0000 0.5910
Ta: 0.0000 0.0000 0.9090
Ta: 0.3333 0.6667 0.1274
Ta: 0.3333 0.6667 0.3726
Ta: 0.3333 0.6667 0.6539
Ta: 0.3333 0.6667 0.8461
Ta: 0.6667 0.3333 0.1539
Ta: 0.6667 0.3333 0.3461
Ta: 0.6667 0.3333 0.6274
Ta: 0.6667 0.3333 0.8726
Ni: 0.0000 0.5000 0.0000
Ni: 0.0000 0.5000 0.5000
Ni: 0.1588 0.3177 0.2500
Ni: 0.1588 0.8412 0.2500
Ni: 0.3177 0.1588 0.7500
Ni: 0.5000 0.0000 0.0000
Ni: 0.5000 0.0000 0.5000
Ni: 0.5000 0.5000 0.0000
Ni: 0.5000 0.5000 0.5000
Ni: 0.6823 0.8412 0.2500
Ni: 0.8412 0.1588 0.7500
Ni: 0.8412 0.6823 0.7500

=====

For Ta5Ni, the PBE geometry in OQMD gives the theoretical X-ray powder pattern in this record (Cu Kα (weighted mean of Kα1 and Kα2)).
Lines closer than 0.1° are merged.

Most intense lines, 2θ = 15–90°, sorted by position:
two_theta  I_rel
26.0  11
37.0  34
39.4  100
43.0  17
45.8  10
55.2  6
59.7  7
66.8  37
68.3  8
72.9  6
80.4  20
82.8  4

Crystal structure
a = 8.4073 Å, b = 8.4073 Å, c = 8.4073 Å
α = 60.00°, β = 60.00°, γ = 60.00°
Positions (direct):
Ta: 0.1342 0.7886 0.7886
Ta: 0.1874 0.1874 0.5626
Ta: 0.1874 0.5626 0.1874
Ta: 0.1874 0.5626 0.5626
Ta: 0.2114 0.2114 0.2114
Ta: 0.2114 0.2114 0.8658
Ta: 0.2114 0.8658 0.2114
Ta: 0.4374 0.4374 0.8126
Ta: 0.4374 0.8126 0.4374
Ta: 0.4374 0.8126 0.8126
Ta: 0.5626 0.1874 0.1874
Ta: 0.5626 0.1874 0.5626
Ta: 0.5626 0.5626 0.1874
Ta: 0.7886 0.1342 0.7886
Ta: 0.7886 0.7886 0.1342
Ta: 0.7886 0.7886 0.7886
Ta: 0.8126 0.4374 0.4374
Ta: 0.8126 0.4374 0.8126
Ta: 0.8126 0.8126 0.4374
Ta: 0.8658 0.2114 0.2114
Ni: 0.0000 0.0000 0.0000
Ni: 0.0000 0.0000 0.5000
Ni: 0.0000 0.5000 0.0000
Ni: 0.5000 0.0000 0.0000

=====

For Ta11Ni2, the PBE geometry in OQMD gives the theoretical X-ray powder pattern in this record (Cu Kα (weighted mean of Kα1 and Kα2)).
Lines closer than 0.1° are merged.

Most intense lines, 2θ = 15–90°, sorted by position:
two_theta  I_rel
19.4  22
33.4  25
37.3  22
38.3  31
38.7  100
38.9  30
40.2  39
40.9  24
42.1  54
63.3  24
69.6  23
70.3  29

Crystal structure
a = 9.9052 Å, b = 9.9052 Å, c = 9.9052 Å
α = 31.39°, β = 31.39°, γ = 31.39°
Positions (direct):
Ta: 0.0000 0.0000 0.0000
Ta: 0.0881 0.0881 0.5839
Ta: 0.0881 0.5839 0.0881
Ta: 0.1670 0.1670 0.1670
Ta: 0.3510 0.3510 0.3510
Ta: 0.4161 0.9119 0.9119
Ta: 0.5839 0.0881 0.0881
Ta: 0.6490 0.6490 0.6490
Ta: 0.8330 0.8330 0.8330
Ta: 0.9119 0.4161 0.9119
Ta: 0.9119 0.9119 0.4161
Ni: 0.4526 0.4526 0.4526
Ni: 0.5474 0.5474 0.5474

=====

For Ta14Ni, the PBE geometry in OQMD gives the theoretical X-ray powder pattern in this record (Cu Kα (weighted mean of Kα1 and Kα2)).
Lines closer than 0.1° are merged.

Most intense lines, 2θ = 15–90°, sorted by position:
two_theta  I_rel
33.8  21
36.6  94
37.7  34
38.3  33
39.4  79
40.5  100
41.5  57
42.5  21
64.2  24
65.1  25
67.4  21
82.8  19

Crystal structure
a = 10.1134 Å, b = 10.1134 Å, c = 5.3006 Å
α = 90.00°, β = 90.00°, γ = 90.00°
Positions (direct):
Ta: 0.0347 0.3695 0.0000
Ta: 0.0638 0.2538 0.5000
Ta: 0.1014 0.1014 0.0000
Ta: 0.1305 0.5347 0.5000
Ta: 0.1847 0.8153 0.2481
Ta: 0.1847 0.8153 0.7519
Ta: 0.2462 0.5638 0.0000
Ta: 0.2538 0.0638 0.5000
Ta: 0.3153 0.3153 0.2519
Ta: 0.3153 0.3153 0.7481
Ta: 0.3695 0.0347 0.0000
Ta: 0.3986 0.6014 0.5000
Ta: 0.4362 0.7538 0.0000
Ta: 0.4653 0.8695 0.5000
Ta: 0.5347 0.1305 0.5000
Ta: 0.5638 0.2462 0.0000
Ta: 0.6014 0.3986 0.5000
Ta: 0.6305 0.9653 0.0000
Ta: 0.6847 0.6847 0.2519
Ta: 0.6847 0.6847 0.7481
Ta: 0.7462 0.9362 0.5000
Ta: 0.7538 0.4362 0.0000
Ta: 0.8153 0.1847 0.2481
Ta: 0.8153 0.1847 0.7519
Ta: 0.8695 0.4653 0.5000
Ta: 0.8986 0.8986 0.0000
Ta: 0.9362 0.7462 0.5000
Ta: 0.9653 0.6305 0.0000
Ni: 0.0000 0.0000 0.5000
Ni: 0.5000 0.5000 0.0000

=====

For Ta12Ni, the PBE geometry in OQMD gives the theoretical X-ray powder pattern in this record (Cu Kα (weighted mean of Kα1 and Kα2)).
Lines closer than 0.1° are merged.

Most intense lines, 2θ = 15–90°, sorted by position:
two_theta  I_rel
33.2  47
37.3  73
38.5  100
38.7  74
40.2  64
40.7  44
41.9  63
62.0  33
62.9  24
64.1  32
66.5  23
69.7  46

Crystal structure
a = 9.8861 Å, b = 9.8861 Å, c = 9.8861 Å
α = 31.67°, β = 31.67°, γ = 31.67°
Positions (direct):
Ta: 0.0460 0.0460 0.0460
Ta: 0.0897 0.5935 0.5935
Ta: 0.1492 0.1492 0.1492
Ta: 0.3335 0.3335 0.3335
Ta: 0.4065 0.4065 0.9103
Ta: 0.4065 0.9103 0.4065
Ta: 0.5935 0.0897 0.5935
Ta: 0.5935 0.5935 0.0897
Ta: 0.6665 0.6665 0.6665
Ta: 0.8508 0.8508 0.8508
Ta: 0.9103 0.4065 0.4065
Ta: 0.9540 0.9540 0.9540
Ni: 0.5000 0.5000 0.5000

=====

For TaNi5, the PBE geometry in OQMD gives the theoretical X-ray powder pattern in this record (Cu Kα (weighted mean of Kα1 and Kα2)).
Lines closer than 0.1° are merged.

Most intense lines, 2θ = 15–90°, sorted by position:
two_theta  I_rel
22.1  31
32.3  25
38.7  47
41.9  66
45.0  14
45.7  100
46.7  42
47.5  14
72.3  24
75.0  22
78.5  24
83.1  20

Crystal structure
a = 4.6476 Å, b = 4.6476 Å, c = 15.3049 Å
α = 90.00°, β = 90.00°, γ = 120.00°
Positions (direct):
Ta: 0.0000 0.0000 0.0987
Ta: 0.0000 0.0000 0.4013
Ta: 0.0000 0.0000 0.5987
Ta: 0.0000 0.0000 0.9013
Ni: 0.0000 0.5000 0.0000
Ni: 0.0000 0.5000 0.5000
Ni: 0.1643 0.3286 0.2500
Ni: 0.1643 0.8357 0.2500
Ni: 0.3286 0.1643 0.7500
Ni: 0.3333 0.6667 0.1254
Ni: 0.3333 0.6667 0.3746
Ni: 0.3333 0.6667 0.6535
Ni: 0.3333 0.6667 0.8465
Ni: 0.5000 0.0000 0.0000
Ni: 0.5000 0.0000 0.5000
Ni: 0.5000 0.5000 0.0000
Ni: 0.5000 0.5000 0.5000
Ni: 0.6667 0.3333 0.1535
Ni: 0.6667 0.3333 0.3465
Ni: 0.6667 0.3333 0.6254
Ni: 0.6667 0.3333 0.8746
Ni: 0.6714 0.8357 0.2500
Ni: 0.8357 0.1643 0.7500
Ni: 0.8357 0.6714 0.7500

=====

For ThTaNi, the PBE geometry in OQMD gives the theoretical X-ray powder pattern in this record (Cu Kα (weighted mean of Kα1 and Kα2)).
Lines closer than 0.1° are merged.

Most intense lines, 2θ = 15–90°, sorted by position:
two_theta  I_rel
24.0  7
27.8  66
39.7  100
46.9  4
49.1  19
57.3  17
63.0  1
64.9  26
72.0  35
77.1  1
85.4  11

Crystal structure
a = 6.4279 Å, b = 6.4279 Å, c = 6.4279 Å
α = 90.00°, β = 90.00°, γ = 90.00°
Positions (direct):
Th: 0.0000 0.0000 0.0000
Th: 0.0000 0.5000 0.5000
Th: 0.5000 0.0000 0.5000
Th: 0.5000 0.5000 0.0000
Ta: 0.0000 0.0000 0.5000
Ta: 0.0000 0.5000 0.0000
Ta: 0.5000 0.0000 0.0000
Ta: 0.5000 0.5000 0.5000
Ni: 0.2500 0.2500 0.2500
Ni: 0.2500 0.7500 0.7500
Ni: 0.7500 0.2500 0.7500
Ni: 0.7500 0.7500 0.2500

=====

For Zr3TaNi2, the PBE geometry in OQMD gives the theoretical X-ray powder pattern in this record (Cu Kα (weighted mean of Kα1 and Kα2)).
Lines closer than 0.1° are merged.

Most intense lines, 2θ = 15–90°, sorted by position:
two_theta  I_rel
22.2  17
35.0  21
35.8  100
35.9  82
40.4  38
44.6  28
44.7  27
45.3  44
62.4  16
63.3  34
69.0  18
72.4  15

Crystal structure
a = 6.4202 Å, b = 5.2236 Å, c = 5.2025 Å
α = 76.02°, β = 52.14°, γ = 51.84°
Positions (direct):
Zr: 0.0000 0.0000 0.0000
Zr: 0.5008 0.8222 0.1778
Zr: 0.8222 0.5008 0.4992
Ta: 0.3231 0.3231 0.6769
Ni: 0.4091 0.4091 0.0909
Ni: 0.9091 0.9091 0.5909

=====

For Zr3Ta2Ni2, the PBE geometry in OQMD gives the theoretical X-ray powder pattern in this record (Cu Kα (weighted mean of Kα1 and Kα2)).
Lines closer than 0.1° are merged.

Most intense lines, 2θ = 15–90°, sorted by position:
two_theta  I_rel
24.0  9
31.5  34
38.5  65
39.0  100
42.4  18
51.0  9
56.0  21
66.1  9
70.4  21
70.7  17
83.1  13
83.9  11

Crystal structure
a = 7.2353 Å, b = 7.2353 Å, c = 7.2353 Å
α = 37.18°, β = 37.18°, γ = 37.18°
Positions (direct):
Zr: 0.0000 0.0000 0.0000
Zr: 0.2560 0.2560 0.2560
Zr: 0.7089 0.7089 0.7089
Ta: 0.4467 0.4467 0.4467
Ta: 0.8463 0.8463 0.8463
Ni: 0.1243 0.1243 0.1243
Ni: 0.5794 0.5794 0.5794

=====

For ZrTa3Ni2, the PBE geometry in OQMD gives the theoretical X-ray powder pattern in this record (Cu Kα (weighted mean of Kα1 and Kα2)).
Lines closer than 0.1° are merged.

Most intense lines, 2θ = 15–90°, sorted by position:
two_theta  I_rel
36.4  14
36.7  100
41.8  16
45.6  26
46.7  17
63.8  14
65.7  18
71.0  9
74.5  7
74.7  7
85.4  6
87.0  6

Crystal structure
a = 6.2956 Å, b = 5.0851 Å, c = 5.0970 Å
α = 76.39°, β = 51.72°, γ = 51.89°
Positions (direct):
Zr: 0.0000 0.0000 0.0000
Ta: 0.1820 0.5007 0.4993
Ta: 0.5007 0.1820 0.8180
Ta: 0.6827 0.6827 0.3173
Ni: 0.0933 0.0933 0.4067
Ni: 0.5933 0.5933 0.9067

=====

For Tb7Ni2Te2, the PBE geometry in OQMD gives the theoretical X-ray powder pattern in this record (Cu Kα (weighted mean of Kα1 and Kα2)).
Lines closer than 0.1° are merged.

Most intense lines, 2θ = 15–90°, sorted by position:
two_theta  I_rel
28.7  22
29.9  22
30.2  50
32.7  78
33.8  100
34.2  22
34.3  48
36.4  21
38.2  20
47.1  28
50.7  17
58.5  36

Crystal structure
a = 9.4273 Å, b = 9.4273 Å, c = 9.4273 Å
α = 156.36°, β = 66.78°, γ = 118.57°
Positions (direct):
Tb: 0.0000 0.0000 0.0000
Tb: 0.0652 0.3803 0.6849
Tb: 0.0832 0.7298 0.3535
Tb: 0.3763 0.7298 0.6465
Tb: 0.4502 0.5821 0.8681
Tb: 0.6954 0.3803 0.3151
Tb: 0.7140 0.5821 0.1319
Ni: 0.3100 0.0722 0.2378
Ni: 0.8344 0.0722 0.7622
Te: 0.3358 0.3358 0.0000
Te: 0.7362 0.2362 0.5000

=====

For TbNiTe2, the PBE geometry in OQMD gives the theoretical X-ray powder pattern in this record (Cu Kα (weighted mean of Kα1 and Kα2)).
Lines closer than 0.1° are merged.

Most intense lines, 2θ = 15–90°, sorted by position:
two_theta  I_rel
25.4  11
28.8  96
37.2  100
44.8  54
54.1  17
59.5  25
61.5  12
61.9  14
72.7  14
73.5  12
77.5  23
82.5  9

Crystal structure
a = 4.0493 Å, b = 4.0493 Å, c = 6.6813 Å
α = 90.00°, β = 90.00°, γ = 120.00°
Positions (direct):
Tb: 0.0000 0.0000 0.0000
Ni: 0.0000 0.0000 0.5000
Te: 0.3333 0.6667 0.7062
Te: 0.6667 0.3333 0.2938

=====

For TbTmTlNi2, the PBE geometry in OQMD gives the theoretical X-ray powder pattern in this record (Cu Kα (weighted mean of Kα1 and Kα2)).
Lines closer than 0.1° are merged.

Most intense lines, 2θ = 15–90°, sorted by position:
two_theta  I_rel
29.6  52
34.2  100
35.0  70
37.5  16
39.0  33
46.7  22
49.8  19
56.6  21
59.0  16
59.7  30
65.0  14
70.7  13

Crystal structure
a = 3.6604 Å, b = 3.8887 Å, c = 14.3735 Å
α = 90.00°, β = 90.00°, γ = 90.00°
Positions (direct):
Tb: 0.0000 0.0000 0.0000
Tb: 0.0000 0.5000 0.5000
Tm: 0.0000 0.0000 0.2792
Tm: 0.0000 0.5000 0.7792
Tl: 0.5000 0.0000 0.6407
Tl: 0.5000 0.5000 0.1407
Ni: 0.5000 0.0000 0.4372
Ni: 0.5000 0.0000 0.8379
Ni: 0.5000 0.5000 0.3379
Ni: 0.5000 0.5000 0.9372